No. 1
This entry pairs a crystal structure of MgMnV4NiO12 with its simulated XRD peak list. Radiation: λ = 1.5418 Å (Cu Kα). Structure: a crystal structure in the Materials Project, relaxed with GGA+U.

Main lines, sorted by position (2θ = 10–90°):
| 2θ/deg | intensity |
| --- | --- |
| 13.47 | 33 |
| 20.01 | 19 |
| 28.06 | 100 |
| 29.19 | 49 |
| 33.69 | 44 |
| 35.58 | 22 |
| 45.46 | 15 |
| 52.00 | 17 |
| 53.29 | 21 |
| 64.24 | 13 |

Unit cell a=5.747 b=6.896 c=6.899 alpha=80.09 beta=73.13 gamma=73.22
Positions (direct):
Mg: 0.000 0.000 0.000
Mn: 0.499 0.803 0.198
V: 0.001 0.538 0.885
V: 0.493 0.915 0.663
V: 0.505 0.337 0.086
V: 0.998 0.115 0.462
Ni: 0.999 0.645 0.355
O: 0.030 0.625 0.639
O: 0.094 0.930 0.274
O: 0.163 0.038 0.684
O: 0.316 0.375 0.918
O: 0.392 0.526 0.249
O: 0.466 0.799 0.908
O: 0.530 0.093 0.203
O: 0.606 0.751 0.475
O: 0.682 0.082 0.625
O: 0.836 0.316 0.963
O: 0.903 0.726 0.070
O: 0.967 0.362 0.375

=====

No. 2
This entry pairs a crystal structure of MgMnV4NiO12 with its simulated XRD peak list. Radiation: λ = 1.5418 Å (Cu Kα). Structure: a crystal structure in the Materials Project, relaxed with GGA+U.

Main lines, sorted by position (2θ = 10–90°):
| 2θ/deg | intensity |
| --- | --- |
| 12.70 | 49 |
| 18.79 | 100 |
| 19.27 | 42 |
| 25.56 | 23 |
| 26.91 | 34 |
| 27.58 | 82 |
| 33.42 | 36 |
| 33.64 | 34 |
| 38.55 | 28 |
| 50.54 | 22 |

Unit cell a=5.609 b=7.249 c=7.263 alpha=78.81 beta=76.13 gamma=76.00
Positions (direct):
Mg: 0.000 0.000 0.000
Mn: 0.995 0.664 0.335
V: 0.096 0.712 0.786
V: 0.445 0.394 0.050
V: 0.543 0.949 0.604
V: 0.891 0.212 0.287
Ni: 0.495 0.498 0.500
O: 0.014 0.962 0.285
O: 0.127 0.589 0.591
O: 0.216 0.259 0.102
O: 0.235 0.946 0.754
O: 0.395 0.536 0.226
O: 0.435 0.528 0.821
O: 0.554 0.178 0.470
O: 0.593 0.773 0.461
O: 0.753 0.242 0.053
O: 0.771 0.895 0.738
O: 0.863 0.408 0.410
O: 0.977 0.716 0.036

=====

No. 3
This entry pairs a crystal structure of MgMnV4NiO12 with its simulated XRD peak list. Radiation: λ = 1.5418 Å (Cu Kα). Structure: a crystal structure in the Materials Project, relaxed with GGA+U.

Main lines, sorted by position (2θ = 10–90°):
| 2θ/deg | intensity |
| --- | --- |
| 13.08 | 23 |
| 13.62 | 43 |
| 19.92 | 26 |
| 27.70 | 100 |
| 27.85 | 83 |
| 28.40 | 51 |
| 29.18 | 32 |
| 34.30 | 70 |
| 51.68 | 40 |
| 53.00 | 25 |

Unit cell a=5.700 b=6.930 c=7.092 alpha=79.10 beta=73.78 gamma=70.64
Positions (direct):
Mg: 0.000 0.000 0.000
Mn: 0.040 0.355 0.629
V: 0.032 0.443 0.106
V: 0.056 0.890 0.510
V: 0.504 0.111 0.328
V: 0.507 0.643 0.922
Ni: 0.539 0.177 0.801
O: 0.047 0.653 0.617
O: 0.129 0.309 0.321
O: 0.135 0.260 0.925
O: 0.169 0.670 0.032
O: 0.376 0.879 0.401
O: 0.456 0.234 0.537
O: 0.487 0.889 0.830
O: 0.616 0.144 0.064
O: 0.628 0.470 0.749
O: 0.695 0.565 0.102
O: 0.883 0.968 0.321
O: 0.942 0.056 0.704

=====

No. 4
This entry pairs a crystal structure of MgMnO3 with its simulated XRD peak list. Radiation: λ = 1.5418 Å (Cu Kα). Structure: a crystal structure in the Materials Project, relaxed with GGA+U.

Main lines, sorted by position (2θ = 10–90°):
| 2θ/deg | intensity |
| --- | --- |
| 19.16 | 56 |
| 21.41 | 29 |
| 24.14 | 75 |
| 33.00 | 92 |
| 35.75 | 78 |
| 40.88 | 76 |
| 49.44 | 42 |
| 53.85 | 100 |
| 62.50 | 35 |
| 64.24 | 49 |

Unit cell a=5.464 b=5.464 c=5.464 alpha=54.72 beta=54.72 gamma=54.72
Positions (direct):
Mg: 0.140 0.140 0.140
Mg: 0.860 0.860 0.860
Mn: 0.342 0.342 0.342
Mn: 0.658 0.658 0.658
O: 0.059 0.454 0.721
O: 0.279 0.941 0.546
O: 0.454 0.721 0.059
O: 0.546 0.279 0.941
O: 0.721 0.059 0.454
O: 0.941 0.546 0.279

=====

No. 5
This entry pairs a crystal structure of Mg2Mn9O13 with its simulated XRD peak list. Radiation: λ = 1.5418 Å (Cu Kα). Structure: a crystal structure in the Materials Project, relaxed with GGA+U.

Main lines, sorted by position (2θ = 10–90°):
| 2θ/deg | intensity |
| --- | --- |
| 10.43 | 87 |
| 33.79 | 100 |
| 33.98 | 87 |
| 34.89 | 49 |
| 38.57 | 31 |
| 40.28 | 38 |
| 41.10 | 63 |
| 41.99 | 37 |
| 59.39 | 33 |
| 61.00 | 42 |

Unit cell a=3.039 b=5.331 c=17.147 alpha=97.89 beta=90.28 gamma=105.26
Positions (direct):
Mg: 0.225 0.434 0.228
Mg: 0.775 0.566 0.772
Mn: 0.005 0.016 0.673
Mn: 0.060 0.126 0.872
Mn: 0.249 0.502 0.584
Mn: 0.353 0.707 0.959
Mn: 0.500 0.000 0.500
Mn: 0.647 0.293 0.041
Mn: 0.751 0.498 0.416
Mn: 0.940 0.874 0.128
Mn: 0.995 0.984 0.327
O: 0.000 0.000 0.000
O: 0.135 0.256 0.465
O: 0.147 0.294 0.772
O: 0.300 0.593 0.067
O: 0.369 0.739 0.692
O: 0.393 0.786 0.393
O: 0.409 0.818 0.855
O: 0.591 0.182 0.145
O: 0.607 0.214 0.607
O: 0.631 0.261 0.308
O: 0.700 0.407 0.933
O: 0.853 0.706 0.228
O: 0.865 0.744 0.535

=====

No. 6
This entry pairs a crystal structure of Mg2Mn3O8 with its simulated XRD peak list. Radiation: λ = 1.5418 Å (Cu Kα). Structure: a crystal structure in the Materials Project, relaxed with GGA+U.

Main lines, sorted by position (2θ = 10–90°):
| 2θ/deg | intensity |
| --- | --- |
| 18.05 | 100 |
| 18.48 | 70 |
| 21.25 | 16 |
| 35.20 | 18 |
| 35.67 | 39 |
| 35.90 | 46 |
| 43.28 | 92 |
| 56.80 | 21 |
| 62.25 | 33 |
| 63.47 | 33 |

Unit cell a=5.967 b=5.967 c=5.967 alpha=58.84 beta=58.84 gamma=58.84
Positions (direct):
Mg: 0.000 0.000 0.000
Mg: 0.381 0.381 0.381
Mn: 0.507 0.998 0.998
Mn: 0.998 0.507 0.998
Mn: 0.998 0.998 0.507
O: 0.203 0.753 0.753
O: 0.239 0.239 0.239
O: 0.244 0.244 0.790
O: 0.244 0.790 0.244
O: 0.753 0.203 0.753
O: 0.753 0.753 0.203
O: 0.765 0.765 0.765
O: 0.790 0.244 0.244

=====

No. 7
This entry pairs a crystal structure of Mg2Mn2O5 with its simulated XRD peak list. Radiation: λ = 1.5418 Å (Cu Kα). Structure: a crystal structure in the Materials Project, relaxed with GGA+U.

Main lines, sorted by position (2θ = 10–90°):
| 2θ/deg | intensity |
| --- | --- |
| 23.71 | 56 |
| 24.55 | 31 |
| 33.57 | 53 |
| 34.00 | 60 |
| 34.39 | 100 |
| 48.53 | 41 |
| 50.32 | 37 |
| 60.56 | 22 |
| 61.10 | 31 |
| 72.50 | 21 |

Unit cell a=5.274 b=10.678 c=3.626 alpha=90.00 beta=90.00 gamma=90.00
Positions (direct):
Mg: 0.244 0.094 0.000
Mg: 0.256 0.594 0.000
Mg: 0.744 0.406 0.000
Mg: 0.756 0.906 0.000
Mn: 0.224 0.864 0.500
Mn: 0.276 0.364 0.500
Mn: 0.724 0.636 0.500
Mn: 0.776 0.136 0.500
O: 0.000 0.500 0.500
O: 0.142 0.185 0.500
O: 0.175 0.905 0.000
O: 0.325 0.405 0.000
O: 0.358 0.685 0.500
O: 0.500 0.000 0.500
O: 0.642 0.315 0.500
O: 0.675 0.595 0.000
O: 0.825 0.095 0.000
O: 0.858 0.815 0.500

=====

No. 8
This entry pairs a crystal structure of MgMnO3 with its simulated XRD peak list. Radiation: λ = 1.5418 Å (Cu Kα). Structure: a crystal structure in the Materials Project, relaxed with GGA+U.

Main lines, sorted by position (2θ = 10–90°):
| 2θ/deg | intensity |
| --- | --- |
| 23.82 | 70 |
| 33.94 | 100 |
| 41.89 | 3 |
| 48.75 | 64 |
| 54.96 | 21 |
| 60.73 | 36 |
| 71.42 | 34 |
| 76.50 | 8 |
| 81.47 | 15 |

Unit cell a=3.736 b=3.736 c=3.736 alpha=90.00 beta=90.00 gamma=90.00
Positions (direct):
Mg: 0.000 0.000 0.000
Mn: 0.500 0.500 0.500
O: 0.000 0.500 0.500
O: 0.500 0.000 0.500
O: 0.500 0.500 0.000